Pr4S3N2: simulated X-ray powder pattern (Cu Kα, 1.54184 Å), based on a DFT-relaxed cell (PBE, the Materials Project).
Lines closer than 0.1° are merged.

The 10 most intense peaks (2θ from 10° to 90°), low angle first:
- (2 1 -1), 2θ 26.38, d = 3.379 Å, rel. 59
- (2 -1 1), 2θ 26.59, d = 3.353 Å, rel. 100
- (0 2 2), 2θ 27.66, d = 3.225 Å, rel. 81
- (0 2 -2), 2θ 27.78, d = 3.212 Å, rel. 70
- (0 1 3), 2θ 30.86, d = 2.898 Å, rel. 32
- (3 2 3), 2θ 30.99, d = 2.886 Å, rel. 33
- (3 3 1), 2θ 31.07, d = 2.879 Å, rel. 20
- (0 4 0), 2θ 39.87, d = 2.261 Å, rel. 31
- (-3 1 1), 2θ 44.41, d = 2.040 Å, rel. 20
- (-2 2 2), 2θ 45.96, d = 1.975 Å, rel. 32

Structure:
abc: 9.9938 10.3333 10.4370
angles: 76.42 61.40 61.08
Space group P1 (No. 1)
One atom of each set of equivalent atoms:
Pr1 0.0000 0.0000 0.0000 (multiplicity 1)
Pr2 0.0054 0.7299 0.7709 (multiplicity 1)
Pr3 0.1069 0.2393 0.2698 (multiplicity 1)
Pr4 0.2736 0.7418 0.2185 (multiplicity 1)
Pr5 0.3736 0.2464 0.7228 (multiplicity 1)
Pr6 0.3847 0.9749 0.4912 (multiplicity 1)
Pr7 0.3913 0.4934 0.9336 (multiplicity 1)
Pr8 0.4783 0.2778 0.3063 (multiplicity 1)
Pr9 0.5581 0.7782 0.8137 (multiplicity 1)
Pr10 0.5786 0.9927 0.0592 (multiplicity 1)
Pr11 0.6088 0.5043 0.5059 (multiplicity 1)
Pr12 0.7638 0.4827 0.9936 (multiplicity 1)
Pr13 0.8036 0.9924 0.4293 (multiplicity 1)
Pr14 0.8321 0.1959 0.6858 (multiplicity 1)
Pr15 0.9065 0.7035 0.1847 (multiplicity 1)
Pr16 0.9875 0.4864 0.5607 (multiplicity 1)
S1 0.0783 0.2156 0.7433 (multiplicity 1)
S2 0.0907 0.9625 0.4678 (multiplicity 1)
S3 0.0939 0.4668 0.9678 (multiplicity 1)
S4 0.1876 0.4894 0.2452 (multiplicity 1)
S5 0.2832 0.5170 0.5224 (multiplicity 1)
S6 0.2909 0.0165 0.0274 (multiplicity 1)
S7 0.3054 0.7531 0.7543 (multiplicity 1)
S8 0.5795 0.7243 0.2366 (multiplicity 1)
S9 0.6644 0.2418 0.0021 (multiplicity 1)
S10 0.6943 0.9884 0.7427 (multiplicity 1)
S11 0.7112 0.7438 0.4975 (multiplicity 1)
S12 0.8020 0.2611 0.2580 (multiplicity 1)
N1 0.0047 0.8528 0.2100 (multiplicity 1)
N2 0.3803 0.1157 0.2826 (multiplicity 1)
N3 0.4880 0.6144 0.0062 (multiplicity 1)
N4 0.5051 0.1209 0.5039 (multiplicity 1)
N5 0.5470 0.3522 0.7135 (multiplicity 1)
N6 0.8343 0.6181 0.7833 (multiplicity 1)
N7 0.8696 0.8650 0.9959 (multiplicity 1)
N8 0.8881 0.3647 0.4879 (multiplicity 1)